Record 1
Theoretical X-ray powder pattern of VSb2O6 for Cu Kα, 1.54184 Å, from the GGA+U geometry in Alexandria.

Most intense lines, 2θ = 15–90°, in order of rising 2θ:
two_theta, d (Å), I/Imax
19.9, 4.463, 9.3
27.1, 3.285, 100.0
29.5, 3.024, 13.5
34.8, 2.577, 29.6
44.7, 2.028, 19.2
51.7, 1.767, 36.4
55.1, 1.666, 9.4
57.9, 1.593, 14.7
60.9, 1.521, 9.4
62.4, 1.488, 9.0

Cell: 8.927 8.927 4.853 Å, 90.00 90.00 120.00°
Fractional positions:
V 0.000 0.000 0.000
V 0.333 0.667 0.503
V 0.667 0.333 0.497
Sb 0.000 0.302 0.500
Sb 0.000 0.638 0.000
Sb 0.302 0.000 0.500
Sb 0.362 0.362 0.000
Sb 0.638 0.000 0.000
Sb 0.698 0.698 0.500
O 0.101 0.887 0.762
O 0.113 0.214 0.762
O 0.124 0.531 0.717
O 0.214 0.113 0.238
O 0.217 0.450 0.279
O 0.232 0.783 0.279
O 0.406 0.876 0.717
O 0.450 0.217 0.721
O 0.469 0.594 0.717
O 0.531 0.124 0.283
O 0.550 0.768 0.279
O 0.594 0.469 0.283
O 0.768 0.550 0.721
O 0.783 0.232 0.721
O 0.786 0.899 0.762
O 0.876 0.406 0.283
O 0.887 0.101 0.238
O 0.899 0.786 0.238



Record 2
Theoretical X-ray powder pattern of VZn2SbO6 for Cu Kα, 1.54184 Å, from the GGA+U geometry in Alexandria.

Most intense lines, 2θ = 15–90°, in order of rising 2θ:
two_theta, d (Å), I/Imax
16.7, 5.300, 30.8
33.1, 2.706, 100.0
33.4, 2.685, 91.8
33.8, 2.656, 44.9
33.9, 2.645, 44.3
46.8, 1.940, 26.3
48.2, 1.889, 22.5
59.0, 1.565, 44.5
60.0, 1.543, 23.4
60.5, 1.531, 21.7

Cell: 5.291 7.759 5.312 Å, 90.00 90.88 90.00°
Fractional positions:
V 0.000 0.000 0.000
V 0.000 0.500 0.000
Zn 0.013 0.250 0.551
Zn 0.471 0.750 0.986
Zn 0.529 0.250 0.014
Zn 0.987 0.750 0.449
Sb 0.500 0.000 0.500
Sb 0.500 0.500 0.500
O 0.109 0.750 0.080
O 0.177 0.066 0.326
O 0.177 0.434 0.326
O 0.335 0.068 0.816
O 0.335 0.432 0.816
O 0.371 0.750 0.581
O 0.629 0.250 0.419
O 0.665 0.568 0.184
O 0.665 0.932 0.184
O 0.823 0.566 0.674
O 0.823 0.934 0.674
O 0.891 0.250 0.920



Record 3
Theoretical X-ray powder pattern of SbW5O15 for Cu Kα, 1.54184 Å, from the GGA+U geometry in Alexandria.

Most intense lines, 2θ = 15–90°, in order of rising 2θ:
two_theta, d (Å), I/Imax
23.1, 3.853, 100.0
23.6, 3.771, 21.3
25.1, 3.545, 43.7
25.7, 3.471, 66.8
29.2, 3.053, 47.8
34.4, 2.609, 28.8
34.8, 2.579, 43.4
37.6, 2.393, 32.3
54.2, 1.693, 23.3
55.8, 1.648, 20.3

Cell: 11.102 11.102 7.542 Å, 90.00 90.00 139.39°
Fractional positions:
Sb 0.250 0.750 0.932
Sb 0.750 0.250 0.068
W 0.090 0.910 0.249
W 0.090 0.910 0.752
W 0.250 0.750 0.486
W 0.410 0.590 0.249
W 0.410 0.590 0.752
W 0.590 0.410 0.248
W 0.590 0.410 0.751
W 0.750 0.250 0.514
W 0.910 0.090 0.248
W 0.910 0.090 0.751
O 0.000 0.000 0.198
O 0.000 0.000 0.802
O 0.000 0.500 0.500
O 0.075 0.925 0.502
O 0.120 0.880 0.001
O 0.158 0.342 0.246
O 0.158 0.342 0.754
O 0.183 0.817 0.322
O 0.189 0.811 0.707
O 0.311 0.689 0.707
O 0.317 0.683 0.322
O 0.342 0.158 0.246
O 0.342 0.158 0.754
O 0.380 0.620 0.001
O 0.425 0.575 0.502
O 0.500 0.000 0.500
O 0.500 0.500 0.198
O 0.500 0.500 0.802
O 0.575 0.425 0.498
O 0.620 0.380 0.999
O 0.658 0.842 0.246
O 0.658 0.842 0.754
O 0.683 0.317 0.678
O 0.689 0.311 0.293
O 0.811 0.189 0.293
O 0.817 0.183 0.678
O 0.842 0.658 0.246
O 0.842 0.658 0.754
O 0.880 0.120 0.999
O 0.925 0.075 0.498



Record 4
Theoretical X-ray powder pattern of Sb2WO6 for Cu Kα, 1.54184 Å, from the GGA+U geometry in Alexandria.

Most intense lines, 2θ = 15–90°, in order of rising 2θ:
two_theta, d (Å), I/Imax
26.1, 3.409, 100.0
28.7, 3.115, 35.7
29.6, 3.020, 60.5
32.5, 2.753, 24.9
39.1, 2.306, 13.6
46.2, 1.963, 16.6
47.1, 1.929, 20.3
48.9, 1.862, 15.8
52.3, 1.750, 15.2
53.4, 1.717, 15.5

Cell: 5.622 5.058 9.385 Å, 90.00 95.41 90.00°
Fractional positions:
Sb 0.109 0.000 0.166
Sb 0.391 0.110 0.834
Sb 0.609 0.610 0.166
Sb 0.891 0.500 0.834
W 0.251 0.566 0.503
W 0.749 0.066 0.497
O 0.020 0.817 0.555
O 0.111 0.238 0.941
O 0.233 0.694 0.309
O 0.266 0.413 0.691
O 0.389 0.873 0.061
O 0.479 0.293 0.444
O 0.521 0.793 0.556
O 0.611 0.373 0.939
O 0.734 0.913 0.309
O 0.767 0.194 0.691
O 0.889 0.738 0.059
O 0.980 0.317 0.445